Entry 1:
Calculated powder XRD pattern of Pr2B5OsW2 for λ = 1.5418 Å (Cu Kα), from a cell relaxed with PBE.
Kinematic intensities with the Lorentz-polarization factor, no thermal factor.

Structural model:
```
data_Pr2B5OsW2
_cell_length_a 10.8614
_cell_length_b 4.0653
_cell_length_c 8.5077
_cell_angle_alpha 90.00
_cell_angle_beta 126.48
_cell_angle_gamma 90.00
_symmetry_space_group_name_H-M 'C 1 2 1'
_symmetry_Int_Tables_number 5
loop_
_symmetry_equiv_pos_as_xyz
'x,y,z'
'-x,y,-z'
'x+1/2,y+1/2,z'
'-x+1/2,y+1/2,-z'
loop_
_atom_site_label
_atom_site_fract_x
_atom_site_fract_y
_atom_site_fract_z
_atom_site_occupancy
Pr1 0.1653 0.0000 0.2691 1
B1 0.0000 0.4961 0.0000 1
B2 0.0205 0.7075 0.6137 1
B3 0.1434 0.9803 0.7934 1
Os1 0.0000 0.2049 0.5000 1
W1 0.1382 0.4751 0.9041 1
```

The 10 most intense peaks (10 to 80 degrees two-theta), in order of falling intensity:
h k l  d (Å)  2θ/deg  I_rel
1 1 1  2.950  30.29  100
3 1 -2  2.630  34.09  65
2 0 -3  2.825  31.68  61
4 0 -1  2.569  34.93  31
1 1 -4  1.725  53.08  28
3 1 -1  2.671  33.55  28
2 0 2  2.144  42.14  24
1 1 2  2.242  40.22  21
2 0 -1  5.423  16.35  21
1 1 0  3.686  24.15  16


Entry 2:
Calculated powder XRD pattern of Pu2B6Os for λ = 1.5418 Å (Cu Kα), from a cell relaxed with PBE.
Kinematic intensities with the Lorentz-polarization factor, no thermal factor.

Structural model:
```
data_Pu2B6Os
_cell_length_a 9.3752
_cell_length_b 11.4418
_cell_length_c 3.5703
_cell_angle_alpha 90.00
_cell_angle_beta 90.00
_cell_angle_gamma 90.00
_symmetry_space_group_name_H-M 'P b a m'
_symmetry_Int_Tables_number 55
loop_
_symmetry_equiv_pos_as_xyz
'x,y,z'
'-x,-y,-z'
'-x,-y,z'
'x,y,-z'
'x+1/2,-y+1/2,-z'
'-x+1/2,y+1/2,z'
'-x+1/2,y+1/2,-z'
'x+1/2,-y+1/2,z'
loop_
_atom_site_label
_atom_site_fract_x
_atom_site_fract_y
_atom_site_fract_z
_atom_site_occupancy
Pu1 0.0443 0.1072 0.0000 1
Pu2 0.1636 0.4068 0.0000 1
B1 0.0106 0.2814 0.5000 1
B2 0.0520 0.5686 0.5000 1
B3 0.1448 0.9591 0.5000 1
B4 0.1460 0.8109 0.5000 1
B5 0.1970 0.2253 0.5000 1
B6 0.2433 0.5759 0.5000 1
Os1 0.1455 0.6793 0.0000 1
```

The 10 most intense peaks (10 to 80 degrees two-theta), in order of falling intensity:
h k l  d (Å)  2θ/deg  I_rel
0 0 1  3.570  24.94  100
3 1 1  2.303  39.11  58
3 1 0  3.015  29.63  51
2 3 1  2.278  39.56  47
2 3 0  2.958  30.21  41
1 4 1  2.173  41.56  36
1 4 0  2.739  32.70  30
0 4 1  2.232  40.41  29
0 4 0  2.860  31.27  25
0 0 2  1.785  51.18  23


Entry 3:
Calculated powder XRD pattern of Sc2B6Os for λ = 1.5418 Å (Cu Kα), from a cell relaxed with PBE.
Kinematic intensities with the Lorentz-polarization factor, no thermal factor.

Structural model:
```
data_Sc2B6Os
_cell_length_a 8.8560
_cell_length_b 11.1670
_cell_length_c 3.4935
_cell_angle_alpha 90.00
_cell_angle_beta 90.00
_cell_angle_gamma 90.00
_symmetry_space_group_name_H-M 'P b a m'
_symmetry_Int_Tables_number 55
loop_
_symmetry_equiv_pos_as_xyz
'x,y,z'
'-x,-y,-z'
'-x,-y,z'
'x,y,-z'
'x+1/2,-y+1/2,-z'
'-x+1/2,y+1/2,z'
'-x+1/2,y+1/2,-z'
'x+1/2,-y+1/2,z'
loop_
_atom_site_label
_atom_site_fract_x
_atom_site_fract_y
_atom_site_fract_z
_atom_site_occupancy
Sc1 0.0558 0.1262 0.0000 1
Sc2 0.1825 0.4139 0.0000 1
B1 0.0207 0.2870 0.5000 1
B2 0.0533 0.5648 0.5000 1
B3 0.1019 0.9720 0.5000 1
B4 0.1298 0.8177 0.5000 1
B5 0.2063 0.2356 0.5000 1
B6 0.2481 0.0783 0.5000 1
Os1 0.1381 0.6794 0.0000 1
```

The 10 most intense peaks (10 to 80 degrees two-theta), in order of falling intensity:
h k l  d (Å)  2θ/deg  I_rel
1 4 0  2.663  33.65  100
2 1 0  4.116  21.59  92
0 0 1  3.494  25.50  89
1 2 0  4.723  18.79  63
1 4 1  2.118  42.70  61
0 2 0  5.584  15.87  54
4 0 0  2.211  40.81  51
3 3 1  1.929  47.12  45
3 1 0  2.852  31.36  41
3 3 0  2.313  38.94  33


Entry 4:
Calculated powder XRD pattern of Tb2B6Os for λ = 1.5418 Å (Cu Kα), from a cell relaxed with PBE.
Kinematic intensities with the Lorentz-polarization factor, no thermal factor.

Structural model:
```
data_Tb2B6Os
_cell_length_a 9.1823
_cell_length_b 11.5500
_cell_length_c 3.6693
_cell_angle_alpha 90.00
_cell_angle_beta 90.00
_cell_angle_gamma 90.00
_symmetry_space_group_name_H-M 'P b a m'
_symmetry_Int_Tables_number 55
loop_
_symmetry_equiv_pos_as_xyz
'x,y,z'
'-x,-y,-z'
'-x,-y,z'
'x,y,-z'
'x+1/2,-y+1/2,-z'
'-x+1/2,y+1/2,z'
'-x+1/2,y+1/2,-z'
'x+1/2,-y+1/2,z'
loop_
_atom_site_label
_atom_site_fract_x
_atom_site_fract_y
_atom_site_fract_z
_atom_site_occupancy
Tb1 0.0560 0.1267 0.0000 1
Tb2 0.1773 0.4136 0.0000 1
B1 0.0160 0.2870 0.5000 1
B2 0.0537 0.5673 0.5000 1
B3 0.1114 0.9691 0.5000 1
B4 0.1323 0.8141 0.5000 1
B5 0.2097 0.2328 0.5000 1
B6 0.2471 0.5800 0.5000 1
Os1 0.1374 0.6783 0.0000 1
```

The 10 most intense peaks (10 to 80 degrees two-theta), in order of falling intensity:
h k l  d (Å)  2θ/deg  I_rel
0 0 1  3.669  24.26  100
3 1 1  2.301  39.14  77
3 1 0  2.955  30.25  63
1 4 1  2.203  40.97  36
3 2 1  2.177  41.48  31
1 4 0  2.755  32.51  29
0 4 1  2.269  39.72  25
3 2 0  2.704  33.12  24
0 0 2  1.835  49.69  22
0 4 0  2.888  30.97  21


Entry 5:
Calculated powder XRD pattern of TbB4Os for λ = 1.5418 Å (Cu Kα), from a cell relaxed with PBE.
Kinematic intensities with the Lorentz-polarization factor, no thermal factor.

Structural model:
```
data_TbB4Os
_cell_length_a 5.9763
_cell_length_b 11.5609
_cell_length_c 3.5703
_cell_angle_alpha 90.00
_cell_angle_beta 90.00
_cell_angle_gamma 90.00
_symmetry_space_group_name_H-M 'P b a m'
_symmetry_Int_Tables_number 55
loop_
_symmetry_equiv_pos_as_xyz
'x,y,z'
'-x,-y,-z'
'-x,-y,z'
'x,y,-z'
'x+1/2,-y+1/2,-z'
'-x+1/2,y+1/2,z'
'-x+1/2,y+1/2,-z'
'x+1/2,-y+1/2,z'
loop_
_atom_site_label
_atom_site_fract_x
_atom_site_fract_y
_atom_site_fract_z
_atom_site_occupancy
Tb1 0.1280 0.1501 0.0000 1
B1 0.0257 0.6911 0.5000 1
B2 0.1124 0.5466 0.5000 1
B3 0.1365 0.9698 0.5000 1
B4 0.2116 0.8144 0.5000 1
Os1 0.1403 0.4068 0.0000 1
```

The 10 most intense peaks (10 to 80 degrees two-theta), in order of falling intensity:
h k l  d (Å)  2θ/deg  I_rel
0 4 1  2.247  40.13  100
0 0 1  3.570  24.94  88
0 4 0  2.892  30.92  86
2 3 1  1.970  46.08  41
2 3 0  2.361  38.11  31
1 4 1  2.103  43.01  28
0 4 2  1.519  60.99  26
1 4 0  2.602  34.47  22
0 0 2  1.785  51.17  19
2 3 2  1.424  65.55  13


Entry 6:
Calculated powder XRD pattern of YB4Os for λ = 1.5418 Å (Cu Kα), from a cell relaxed with PBE.
Kinematic intensities with the Lorentz-polarization factor, no thermal factor.

Structural model:
```
data_YB4Os
_cell_length_a 5.9708
_cell_length_b 11.5487
_cell_length_c 3.5636
_cell_angle_alpha 90.00
_cell_angle_beta 90.00
_cell_angle_gamma 90.00
_symmetry_space_group_name_H-M 'P b a m'
_symmetry_Int_Tables_number 55
loop_
_symmetry_equiv_pos_as_xyz
'x,y,z'
'-x,-y,-z'
'-x,-y,z'
'x,y,-z'
'x+1/2,-y+1/2,-z'
'-x+1/2,y+1/2,z'
'-x+1/2,y+1/2,-z'
'x+1/2,-y+1/2,z'
loop_
_atom_site_label
_atom_site_fract_x
_atom_site_fract_y
_atom_site_fract_z
_atom_site_occupancy
Y1 0.1282 0.1501 0.0000 1
B1 0.0257 0.6913 0.5000 1
B2 0.1125 0.5467 0.5000 1
B3 0.1362 0.9699 0.5000 1
B4 0.2112 0.8143 0.5000 1
Os1 0.1404 0.4068 0.0000 1
```

The 10 most intense peaks (10 to 80 degrees two-theta), in order of falling intensity:
h k l  d (Å)  2θ/deg  I_rel
0 4 1  2.244  40.18  100
0 0 1  3.564  24.99  90
0 4 0  2.889  30.95  83
2 3 1  1.967  46.15  56
2 3 0  2.359  38.15  41
1 1 0  5.304  16.72  32
1 4 1  2.100  43.07  32
1 4 0  2.599  34.51  24
1 2 0  4.151  21.41  24
0 4 2  1.517  61.11  24


Entry 7:
Calculated powder XRD pattern of Ta4B3P for λ = 1.5418 Å (Cu Kα), from a cell relaxed with PBE.
Kinematic intensities with the Lorentz-polarization factor, no thermal factor.

Structural model:
```
data_Ta4B3P
_cell_length_a 3.3064
_cell_length_b 3.3064
_cell_length_c 22.1498
_cell_angle_alpha 90.00
_cell_angle_beta 90.00
_cell_angle_gamma 120.00
_symmetry_space_group_name_H-M 'P 63/m m c'
_symmetry_Int_Tables_number 194
_symmetry_space_group_name_Hall '-P 6c 2c'
loop_
_atom_site_label
_atom_site_fract_x
_atom_site_fract_y
_atom_site_fract_z
_atom_site_occupancy
Ta1 0.0000 0.0000 0.1725 1
Ta2 0.3333 0.6667 0.0579 1
B1 0.0000 0.0000 0.0000 1
B2 0.3333 0.6667 0.6176 1
P1 0.3333 0.6667 0.2500 1
```

The 10 most intense peaks (10 to 80 degrees two-theta), in order of falling intensity:
h k l  d (Å)  2θ/deg  I_rel
0 0 8  2.771  32.31  100
1 0 6  2.263  39.84  87
1 0 5  2.405  37.40  51
1 1 0  1.653  55.59  43
1 1 8  1.420  65.79  37
1 0 3  2.670  33.57  34
1 0 12  1.551  59.59  17
2 0 6  1.335  70.55  16
0 0 16  1.385  67.65  14
1 0 4  2.544  35.29  12


Entry 8:
Calculated powder XRD pattern of Zr2BP for λ = 1.5418 Å (Cu Kα), from a cell relaxed with PBE.
Kinematic intensities with the Lorentz-polarization factor, no thermal factor.

Structural model:
```
data_Zr2BP
_cell_length_a 3.5288
_cell_length_b 3.5288
_cell_length_c 12.4688
_cell_angle_alpha 90.00
_cell_angle_beta 90.00
_cell_angle_gamma 120.00
_symmetry_space_group_name_H-M 'P 63/m m c'
_symmetry_Int_Tables_number 194
_symmetry_space_group_name_Hall '-P 6c 2c'
loop_
_atom_site_label
_atom_site_fract_x
_atom_site_fract_y
_atom_site_fract_z
_atom_site_occupancy
Zr1 0.3333 0.6667 0.1100 1
B1 0.0000 0.0000 0.0000 1
P1 0.3333 0.6667 0.7500 1
```

The 10 most intense peaks (10 to 80 degrees two-theta), in order of falling intensity:
h k l  d (Å)  2θ/deg  I_rel
1 0 3  2.462  36.49  100
1 0 1  2.968  30.11  35
1 0 0  3.056  29.22  33
1 1 0  1.764  51.82  31
0 0 4  3.117  28.64  20
2 0 3  1.434  65.03  17
1 0 4  2.182  41.37  16
1 1 4  1.535  60.27  15
1 0 7  1.539  60.13  14
1 0 5  1.932  47.03  10